The following is a computed powder X-ray diffraction pattern of Er2LuFe3Co6. It was derived from a DFT-relaxed cell (PBE, OQMD), using CuKα.

Principal peaks in the range 2θ = 5–70°, in order of rising 2θ:
| 2theta | d (Å) | intensity |
| --- | --- | --- |
| 33.68 | 2.661 | 55 |
| 35.73 | 2.513 | 59 |
| 36.87 | 2.438 | 40 |
| 41.68 | 2.167 | 43 |
| 42.73 | 2.116 | 100 |
| 69.01 | 1.361 | 23 |

Structural model:
```
Er2LuFe3Co6
1.0
2.513 1.451 7.847
-2.513 1.451 7.847
0.000 -2.902 7.847
Er Lu Fe Co
2 1 3 6
Cartesian
0.000 0.000 3.310 Er
0.000 0.000 20.231 Er
0.000 0.000 0.000 Lu
0.000 0.000 7.849 Fe
0.000 0.000 11.771 Fe
0.000 0.000 15.692 Fe
-1.263 -0.729 9.775 Co
0.000 -1.458 13.766 Co
-1.263 0.729 13.766 Co
1.263 -0.729 9.775 Co
0.000 1.458 9.775 Co
1.263 0.729 13.766 Co
```

The following is a computed powder X-ray diffraction pattern of ErLu2FeCo8. It was derived from a DFT-relaxed cell (PBE, OQMD), using CuKα.

Principal peaks in the range 2θ = 5–70°, in order of rising 2θ:
| 2theta | d (Å) | intensity |
| --- | --- | --- |
| 33.63 | 2.665 | 55 |
| 36.22 | 2.480 | 61 |
| 36.76 | 2.445 | 44 |
| 42.24 | 2.139 | 42 |
| 43.02 | 2.103 | 100 |
| 69.83 | 1.347 | 23 |

Structural model:
```
ErLu2FeCo8
1.0
2.480 1.432 7.928
-2.480 1.432 7.928
0.000 -2.864 7.928
Er Lu Fe Co
1 2 1 8
Cartesian
0.000 0.000 0.000 Er
0.000 0.000 3.330 Lu
0.000 0.000 20.454 Lu
0.000 0.000 11.892 Fe
-1.255 -0.725 9.894 Co
0.000 0.000 7.956 Co
0.000 -1.449 13.890 Co
-1.255 0.725 13.890 Co
1.255 -0.725 9.894 Co
0.000 1.449 9.894 Co
0.000 0.000 15.827 Co
1.255 0.725 13.890 Co
```

The following is a computed powder X-ray diffraction pattern of Er2LuFe8Co. It was derived from a DFT-relaxed cell (PBE, OQMD), using CuKα.

Principal peaks in the range 2θ = 5–70°, in order of rising 2θ:
| 2theta | d (Å) | intensity |
| --- | --- | --- |
| 33.22 | 2.697 | 53 |
| 35.78 | 2.510 | 58 |
| 36.31 | 2.474 | 37 |
| 41.73 | 2.165 | 38 |
| 42.49 | 2.128 | 100 |
| 68.90 | 1.363 | 23 |

Structural model:
```
Er2LuFe8Co
1.0
2.510 1.449 8.024
-2.510 1.449 8.024
0.000 -2.898 8.024
Er Lu Fe Co
2 1 8 1
Cartesian
0.000 0.000 3.415 Er
0.000 0.000 20.656 Er
0.000 0.000 0.000 Lu
-1.256 -0.725 9.990 Fe
0.000 0.000 8.012 Fe
0.000 -1.451 14.081 Fe
-1.256 0.725 14.081 Fe
1.256 -0.725 9.990 Fe
0.000 1.451 9.990 Fe
0.000 0.000 16.060 Fe
1.256 0.725 14.081 Fe
0.000 0.000 12.036 Co
```

The following is a computed powder X-ray diffraction pattern of Er3FeCo6Ni2. It was derived from a DFT-relaxed cell (PBE, OQMD), using CuKα.

Principal peaks in the range 2θ = 5–70°, in order of rising 2θ:
| 2theta | d (Å) | intensity |
| --- | --- | --- |
| 33.41 | 2.682 | 53 |
| 36.18 | 2.483 | 61 |
| 36.50 | 2.462 | 44 |
| 42.20 | 2.142 | 42 |
| 42.86 | 2.110 | 100 |
| 69.68 | 1.349 | 22 |

Structural model:
```
Er3FeCo6Ni2
1.0
2.483 1.433 8.006
-2.483 1.433 8.006
0.000 -2.867 8.006
Er Fe Co Ni
3 1 6 2
Cartesian
0.000 0.000 0.000 Er
0.000 0.000 3.341 Er
0.000 0.000 20.676 Er
0.000 0.000 12.008 Fe
-1.254 -0.724 9.986 Co
0.000 -1.448 14.031 Co
-1.254 0.724 14.031 Co
1.254 -0.724 9.986 Co
0.000 1.448 9.986 Co
1.254 0.724 14.030 Co
0.000 0.000 8.018 Ni
0.000 0.000 15.999 Ni
```